(1)
This entry pairs a crystal structure of CdRhPb2 with its calculated powder diffraction line list. Radiation: Cu Kα. Structure: a DFT-relaxed cell (PBE, Alexandria).
Neutral-atom scattering factors, no anomalous dispersion.

Cell and atoms:
Cell: 9.0609 9.0609 5.3964 Å, 90.00 90.00 90.00°
Space group I-42d (No. 122)
One atom of each set of equivalent atoms:
Cd  0.0000  0.0000  0.0000 x4
Rh  0.0000  0.0000  0.5000 x4
Pb  0.1459  0.2500  0.6250 x8

Largest 6 diffraction maxima, most intense first, 2θ from 15° to 90°:
hkl	2θ/deg	intensity
2 1 1	27.53	100
1 1 2	36.12	69
3 2 1	39.56	51
2 2 0	27.85	47
3 1 0	31.22	38
1 0 1	19.14	30

(2)
This entry pairs a crystal structure of Li2ZnTeO4 with its calculated powder diffraction line list. Radiation: Cu Kα. Structure: a DFT-relaxed cell (PBE, Alexandria).
Neutral-atom scattering factors, no anomalous dispersion.

Cell and atoms:
Cell: 6.2578 6.4308 8.8365 Å, 90.00 90.00 90.00°
Space group Imma (No. 74)
One atom of each set of equivalent atoms:
Li  0.0000  0.0000  0.0000 x4
Li  0.2500  0.2500  0.2500 x4
Zn  0.2500  0.2500  0.7500 x4
Te  0.0000  0.0000  0.5000 x4
O  0.0000  0.0178  0.7452 x8
O  0.2505  0.2500  0.0050 x8

Largest 6 diffraction maxima, most intense first, 2θ from 15° to 90°:
hkl	2θ/deg	intensity
1 0 1	17.36	100
2 2 0	40.22	60
1 2 1	32.92	41
2 2 4	58.66	36
0 1 1	17.05	35
0 0 4	40.85	28

(3)
This entry pairs a crystal structure of TbErTh with its calculated powder diffraction line list. Radiation: Cu Kα. Structure: a DFT-relaxed cell (PBE, Alexandria).
Neutral-atom scattering factors, no anomalous dispersion.

Cell and atoms:
Cell: 3.5739 7.0758 7.8690 Å, 77.45 76.90 89.84°
Space group P-1 (No. 2)
One atom of each set of equivalent atoms:
Tb  0.0000  0.0000  0.0000 x1
Tb  0.0000  0.5000  0.0000 x1
Er  0.3293  0.1685  0.3400 x2
Th  0.3320  0.6631  0.3348 x2

Largest 6 diffraction maxima, most intense first, 2θ from 15° to 90°:
hkl	2θ/deg	intensity
1 0 2	30.79	100
1 2 1	35.71	68
0 2 -1	30.87	50
0 2 2	31.13	48
0 0 3	36.06	33
1 2 4	51.83	24

(4)
This entry pairs a crystal structure of Na3TiMn2Te6 with its calculated powder diffraction line list. Radiation: Cu Kα. Structure: a DFT-relaxed cell (PBE, Alexandria).
Neutral-atom scattering factors, no anomalous dispersion.

Cell and atoms:
Cell: 7.1132 12.3343 7.8692 Å, 90.00 107.55 90.00°
Space group C2/m (No. 12)
One atom of each set of equivalent atoms:
Na  0.0000  0.0000  0.0000 x2
Na  0.0000  0.3321  0.0000 x4
Ti  0.0000  0.5000  0.5000 x2
Mn  0.0000  0.1664  0.5000 x4
Te  0.2349  0.3343  0.7059 x8
Te  0.2378  0.0000  0.7064 x4

Largest 6 diffraction maxima, most intense first, 2θ from 15° to 90°:
hkl	2θ/deg	intensity
1 3 1	29.70	100
2 0 0	26.27	39
0 6 0	44.08	37
2 0 2	40.89	30
4 0 0	54.05	18
2 0 -3	37.70	17

(5)
This entry pairs a crystal structure of Ac2CeTeO4 with its calculated powder diffraction line list. Radiation: Cu Kα. Structure: a DFT-relaxed cell (PBE, Alexandria).
Neutral-atom scattering factors, no anomalous dispersion.

Cell and atoms:
Cell: 4.0870 4.0870 9.7141 Å, 90.00 90.00 90.00°
Space group P4/mmm (No. 123)
One atom of each set of equivalent atoms:
Ac  0.0000  0.0000  0.2258 x2
Ce  0.5000  0.5000  0.5000 x1
Te  0.5000  0.5000  0.0000 x1
O  0.0000  0.5000  0.3621 x4

Largest 6 diffraction maxima, most intense first, 2θ from 15° to 90°:
hkl	2θ/deg	intensity
1 0 2	28.54	100
2 1 2	53.57	35
1 1 0	30.94	35
1 1 4	48.99	23
2 0 0	44.33	19
2 0 4	59.08	9

(6)
This entry pairs a crystal structure of Cs2TbTlS4 with its calculated powder diffraction line list. Radiation: Cu Kα. Structure: a DFT-relaxed cell (PBE, Alexandria).
Neutral-atom scattering factors, no anomalous dispersion.

Cell and atoms:
Cell: 11.9603 12.7404 8.5560 Å, 90.00 131.51 90.00°
Space group C2/c (No. 15)
One atom of each set of equivalent atoms:
Cs  0.0000  0.0000  0.0000 x4
Cs  0.2500  0.2500  0.0000 x4
Tb  0.0000  0.5000  0.0000 x4
Tl  0.2500  0.2500  0.5000 x4
S  0.0259  0.2718  0.4832 x8
S  0.1998  0.4880  0.4399 x8

Largest 6 diffraction maxima, most intense first, 2θ from 15° to 90°:
hkl	2θ/deg	intensity
2 2 0	24.30	100
2 2 -2	25.12	90
0 4 0	28.01	78
0 0 2	27.85	78
4 0 -2	29.92	62
0 4 2	39.91	56

(7)
This entry pairs a crystal structure of CdGaSe2 with its calculated powder diffraction line list. Radiation: Cu Kα. Structure: a DFT-relaxed cell (PBE, Alexandria).
Neutral-atom scattering factors, no anomalous dispersion.

Cell and atoms:
Cell: 3.9713 3.9713 19.6107 Å, 90.00 90.00 120.00°
Space group P3_221 (No. 154)
One atom of each set of equivalent atoms:
Cd  0.0000  0.3340  0.3333 x3
Ga  0.0000  0.3328  0.8333 x3
Se  0.0010  0.3340  0.5791 x6

Largest 6 diffraction maxima, most intense first, 2θ from 15° to 90°:
hkl	2θ/deg	intensity
0 1 4	31.78	100
1 1 0	45.69	36
1 0 8	45.44	36
2 0 4	56.73	18
1 2 4	75.69	15
1 1 12	75.32	15

(8)
This entry pairs a crystal structure of Ce2GaSn4 with its calculated powder diffraction line list. Radiation: Cu Kα. Structure: a DFT-relaxed cell (PBE, Alexandria).
Neutral-atom scattering factors, no anomalous dispersion.

Cell and atoms:
Cell: 4.5161 4.5161 9.2683 Å, 90.00 90.00 90.00°
Space group P-4m2 (No. 115)
One atom of each set of equivalent atoms:
Ce  0.0000  0.5000  0.2289 x2
Ga  0.5000  0.5000  0.0000 x1
Sn  0.0000  0.0000  0.5000 x1
Sn  0.0000  0.5000  0.8171 x2
Sn  0.5000  0.5000  0.5000 x1

Largest 6 diffraction maxima, most intense first, 2θ from 15° to 90°:
hkl	2θ/deg	intensity
1 1 2	34.10	100
2 0 0	39.93	41
3 1 2	68.78	33
1 1 1	29.59	24
0 0 3	28.90	18
2 0 3	50.03	16

(9)
This entry pairs a crystal structure of SrLa5 with its calculated powder diffraction line list. Radiation: Cu Kα. Structure: a DFT-relaxed cell (PBE, Alexandria).
Neutral-atom scattering factors, no anomalous dispersion.

Cell and atoms:
Cell: 3.7731 3.7731 16.3987 Å, 90.00 90.00 90.00°
Space group P4/mmm (No. 123)
One atom of each set of equivalent atoms:
Sr  0.0000  0.0000  0.0000 x1
La  0.0000  0.0000  0.3389 x2
La  0.5000  0.5000  0.1888 x2
La  0.5000  0.5000  0.5000 x1

Largest 6 diffraction maxima, most intense first, 2θ from 15° to 90°:
hkl	2θ/deg	intensity
1 0 3	28.75	100
1 1 0	33.59	35
2 1 3	57.13	29
1 1 6	47.63	20
0 0 6	32.77	15
2 0 0	48.24	13

(10)
This entry pairs a crystal structure of KMgHC2O10 with its calculated powder diffraction line list. Radiation: Cu Kα. Structure: a DFT-relaxed cell (PBE, Alexandria).
Neutral-atom scattering factors, no anomalous dispersion.

Cell and atoms:
Cell: 4.9253 5.2708 7.9104 Å, 73.75 84.74 72.42°
Space group P-1 (No. 2)
One atom of each set of equivalent atoms:
K  0.0000  0.0000  0.0000 x1
Mg  0.5000  0.5000  0.5000 x1
H  0.0000  0.0000  0.5000 x1
C  0.3224  0.1163  0.3281 x2
O  0.1977  0.9145  0.4052 x2
O  0.2488  0.4397  0.7518 x2
O  0.2494  0.5376  0.8785 x2
O  0.2874  0.3108  0.4026 x2
O  0.4562  0.1021  0.1853 x2

Largest 6 diffraction maxima, most intense first, 2θ from 15° to 90°:
hkl	2θ/deg	intensity
1 0 2	30.14	100
1 -1 1	34.11	43
1 1 2	28.53	38
1 1 -2	36.12	33
1 0 -3	40.62	31
2 1 0	37.43	28

(11)
This entry pairs a crystal structure of HoMnGe2Os with its calculated powder diffraction line list. Radiation: Cu Kα. Structure: a DFT-relaxed cell (PBE, Alexandria).
Neutral-atom scattering factors, no anomalous dispersion.

Cell and atoms:
Cell: 4.0390 4.0390 10.6708 Å, 90.00 90.00 90.00°
Space group I-4m2 (No. 119)
One atom of each set of equivalent atoms:
Ho  0.0000  0.0000  0.0000 x2
Mn  0.0000  0.5000  0.7500 x2
Ge  0.0000  0.0000  0.3820 x4
Os  0.0000  0.5000  0.2500 x2

Largest 6 diffraction maxima, most intense first, 2θ from 15° to 90°:
hkl	2θ/deg	intensity
1 1 2	35.66	100
1 0 3	33.58	66
2 0 0	44.88	46
2 1 3	57.20	34
1 0 1	23.55	31
1 0 5	48.23	26

(12)
This entry pairs a crystal structure of U2Ge4Rh5 with its calculated powder diffraction line list. Radiation: Cu Kα. Structure: a DFT-relaxed cell (PBE, Alexandria).
Neutral-atom scattering factors, no anomalous dispersion.

Cell and atoms:
Cell: 5.6346 9.5352 14.8022 Å, 90.00 90.00 90.00°
Space group Fmmm (No. 69)
One atom of each set of equivalent atoms:
U  0.0000  0.0000  0.1215 x8
Ge  0.0000  0.1526  0.3680 x16
Rh  0.0000  0.0000  0.5000 x4
Rh  0.2500  0.2500  0.0000 x8
Rh  0.2500  0.2500  0.2500 x8

Largest 6 diffraction maxima, most intense first, 2θ from 15° to 90°:
hkl	2θ/deg	intensity
2 0 4	40.23	100
1 3 3	37.24	88
2 2 0	37.07	85
0 2 4	30.58	82
1 3 1	32.92	53
1 3 5	44.82	49

What is the formula in the eleventh record?
HoMnGe2Os